Calculated XRD peak list of ErH4NCl4 for Cu Kα (weighted mean of Kα1 and Kα2), from a PBE-relaxed structure.
Peak positions follow from Bragg's law for the DFT cell and can differ from measured ones.

Crystal structure
a b c (Å): 7.167 7.167 14.788
angles (deg): 90.00 90.00 90.00
Space group I4_1/a (No. 88, origin choice 2)
Inequivalent atoms, fractional coordinates:
Er 0.000 0.250 0.125
H 0.044 0.140 0.665
N 0.000 0.250 0.625
Cl 0.181 0.022 0.220

Largest 6 diffraction maxima, in order of rising 2θ, 5° ≤ 2θ ≤ 70°:
2θ (°)  intensity  (hkl)
13.73  100  1 0 1
21.25  97  1 1 2
21.88  31  1 0 3
28.49  29  2 1 1
34.87  54  2 0 4
41.68  28  3 1 2